The following is a theoretical PXRD pattern of MnCr3Tc2. It was derived from DFT lattice parameters and positions (GGA-PBE), using Cu Kα (λ = 1.5418 Å).
Intensities are scaled so that the largest is 100.

Top 10 peaks for 2θ = 15–90°, by angle:
- (3 1 1), 33.40°, I = 40
- (0 2 1), 38.21°, I = 65
- (0 0 2), 40.86°, I = 100
- (6 0 0), 42.57°, I = 25
- (4 2 0), 43.15°, I = 25
- (5 1 1), 44.14°, I = 92
- (1 1 2), 44.72°, I = 30
- (4 2 1), 48.04°, I = 71
- (1 3 0), 49.63°, I = 25
- (4 0 2), 50.28°, I = 25

Structural model:
Cell: 12.7419 5.5689 4.4162 Å, 90.00 90.00 90.00°
Space group Cmcm (No. 63)
Unique sites:
Mn 0.0000 0.1322 0.2500 x4
Cr 0.0000 0.5000 0.0000 x4
Cr 0.1869 0.3547 0.2500 x8
Tc 0.1298 0.1721 0.7500 x8